# 1
This entry pairs a crystal structure of ScV2Cu2 with its theoretical powder XRD pattern. Radiation: λ = 1.5418 Å (Cu Kα). Structure: a structure optimized by DFT (PBE).

Crystal structure
```
data_ScV2Cu2
_space_group_name_H-M_alt 'I 4/m m m'
_space_group_IT_number 139
_space_group_name_Hall '-I 4 2'
_cell_length_a 3.4886
_cell_length_b 3.4886
_cell_length_c 12.5686
_cell_angle_alpha 90.00
_cell_angle_beta 90.00
_cell_angle_gamma 90.00
loop_
_atom_site_label
_atom_site_type_symbol
_atom_site_fract_x
_atom_site_fract_y
_atom_site_fract_z
Sc1 Sc 0.0000 0.0000 0.0000
V1 V 0.0000 0.5000 0.2500
Cu1 Cu 0.0000 0.0000 0.4036
```

Top 10 peaks for 15° ≤ 2θ ≤ 90°, low angle first:
- 26.52 deg, rel. 36, (1 0 1)
- 33.42 deg, rel. 26, (1 0 3)
- 39.23 deg, rel. 100, (1 1 2)
- 43.19 deg, rel. 16, (0 0 6)
- 44.42 deg, rel. 61, (1 0 5)
- 46.82 deg, rel. 40, (1 1 4)
- 52.46 deg, rel. 43, (2 0 0)
- 70.22 deg, rel. 13, (2 0 6)
- 71.12 deg, rel. 27, (2 1 5)
- 87.00 deg, rel. 19, (1 1 10)

***

# 2
This entry pairs a crystal structure of Sm8Mg with its theoretical powder XRD pattern. Radiation: λ = 1.5418 Å (Cu Kα). Structure: a structure optimized by DFT (PBE).

Crystal structure
```
data_Sm8Mg
_space_group_name_H-M_alt 'C 1 2/m 1'
_space_group_IT_number 12
_space_group_name_Hall '-C 2y'
_cell_length_a 5.0900
_cell_length_b 15.2186
_cell_length_c 8.0105
_cell_angle_alpha 90.00
_cell_angle_beta 108.41
_cell_angle_gamma 90.00
loop_
_atom_site_label
_atom_site_type_symbol
_atom_site_fract_x
_atom_site_fract_y
_atom_site_fract_z
Sm1 Sm 0.0000 0.1654 0.0000
Sm2 Sm 0.1664 0.0000 0.3317
Sm3 Sm 0.1668 0.3339 0.3326
Mg1 Mg 0.0000 0.5000 0.0000
```

Top 10 peaks for 15° ≤ 2θ ≤ 90°, low angle first:
- 30.50 deg, rel. 100, (1 3 1)
- 35.27 deg, rel. 17, (2 0 -1)
- 35.41 deg, rel. 34, (0 6 0)
- 50.81 deg, rel. 18, (2 0 2)
- 50.93 deg, rel. 18, (0 6 3)
- 60.36 deg, rel. 14, (3 3 0)
- 60.53 deg, rel. 21, (1 9 1)
- 63.48 deg, rel. 12, (2 6 2)
- 82.80 deg, rel. 9, (3 9 0)
- 82.99 deg, rel. 9, (1 9 4)

***

# 3
This entry pairs a crystal structure of AcSc3S6 with its theoretical powder XRD pattern. Radiation: λ = 1.5418 Å (Cu Kα). Structure: a structure optimized by DFT (PBE).

Crystal structure
```
data_AcSc3S6
_space_group_name_H-M_alt 'P 1 21/m 1'
_space_group_IT_number 11
_space_group_name_Hall '-P 2yb'
_cell_length_a 11.0156
_cell_length_b 3.9142
_cell_length_c 11.3564
_cell_angle_alpha 90.00
_cell_angle_beta 112.30
_cell_angle_gamma 90.00
loop_
_atom_site_label
_atom_site_type_symbol
_atom_site_fract_x
_atom_site_fract_y
_atom_site_fract_z
Ac1 Ac 0.1003 0.2500 0.3526
Sc1 Sc 0.1630 0.2500 0.0293
Sc2 Sc 0.2822 0.7500 0.7334
Sc3 Sc 0.4827 0.7500 0.3519
S1 S 0.0695 0.7500 0.1391
S2 S 0.1035 0.2500 0.6257
S3 S 0.2186 0.7500 0.9217
S4 S 0.3329 0.2500 0.2599
S5 S 0.3432 0.7500 0.5204
S6 S 0.4342 0.2500 0.8170
```

Top 10 peaks for 15° ≤ 2θ ≤ 90°, low angle first:
- 22.09 deg, rel. 74, (2 0 1)
- 24.29 deg, rel. 100, (3 0 -1)
- 24.68 deg, rel. 68, (1 1 -1)
- 25.43 deg, rel. 48, (0 0 3)
- 28.76 deg, rel. 78, (2 1 0)
- 31.89 deg, rel. 77, (2 1 1)
- 33.87 deg, rel. 58, (2 1 -3)
- 34.97 deg, rel. 60, (3 1 0)
- 37.03 deg, rel. 64, (3 1 -3)
- 46.40 deg, rel. 48, (0 2 0)

***

# 4
This entry pairs a crystal structure of Pm6CoAg2 with its theoretical powder XRD pattern. Radiation: λ = 1.5418 Å (Cu Kα). Structure: a structure optimized by DFT (PBE).

Crystal structure
```
data_Pm6CoAg2
_space_group_name_H-M_alt 'P 1 21/c 1'
_space_group_IT_number 14
_space_group_name_Hall '-P 2ybc'
_cell_length_a 6.8947
_cell_length_b 7.4307
_cell_length_c 12.3690
_cell_angle_alpha 90.00
_cell_angle_beta 123.32
_cell_angle_gamma 90.00
loop_
_atom_site_label
_atom_site_type_symbol
_atom_site_fract_x
_atom_site_fract_y
_atom_site_fract_z
Pm1 Pm 0.1322 0.1907 0.4470
Pm2 Pm 0.2690 0.6891 0.4474
Pm3 Pm 0.3673 0.0126 0.2497
Co1 Co 0.0000 0.0000 0.0000
Ag1 Ag 0.2015 0.0988 0.7510
```

Top 10 peaks for 15° ≤ 2θ ≤ 90°, low angle first:
- 28.56 deg, rel. 50, (2 1 -2)
- 28.67 deg, rel. 36, (1 2 -2)
- 28.86 deg, rel. 53, (1 0 2)
- 29.61 deg, rel. 100, (0 2 2)
- 29.93 deg, rel. 65, (2 1 -3)
- 31.33 deg, rel. 44, (2 0 -4)
- 34.72 deg, rel. 42, (0 0 4)
- 35.53 deg, rel. 66, (0 2 3)
- 38.65 deg, rel. 50, (1 3 -1)
- 52.52 deg, rel. 40, (2 3 1)

***

# 5
This entry pairs a crystal structure of RbHoAgCl6 with its theoretical powder XRD pattern. Radiation: λ = 1.5418 Å (Cu Kα). Structure: a structure optimized by DFT (PBE).

Crystal structure
```
data_RbHoAgCl6
_space_group_name_H-M_alt 'P 1'
_space_group_IT_number 1
_space_group_name_Hall 'P 1'
_cell_length_a 6.7772
_cell_length_b 6.7827
_cell_length_c 7.3455
_cell_angle_alpha 92.02
_cell_angle_beta 92.10
_cell_angle_gamma 115.70
loop_
_atom_site_label
_atom_site_type_symbol
_atom_site_fract_x
_atom_site_fract_y
_atom_site_fract_z
Rb1 Rb 0.0000 0.0000 0.0000
Ho1 Ho 0.3355 0.6651 0.5005
Ag1 Ag 0.6796 0.3205 0.5001
Cl1 Cl 0.0182 0.3567 0.6799
Cl2 Cl 0.0350 0.6269 0.2620
Cl3 Cl 0.3748 0.9645 0.7398
Cl4 Cl 0.4005 0.3625 0.2935
Cl5 Cl 0.6380 0.5988 0.7071
Cl6 Cl 0.6432 0.9823 0.3205
```

Top 10 peaks for 15° ≤ 2θ ≤ 90°, low angle first:
- 18.38 deg, rel. 97, (0 1 -1)
- 19.46 deg, rel. 85, (1 0 1)
- 19.64 deg, rel. 100, (-1 1 1)
- 26.38 deg, rel. 50, (2 -1 0)
- 26.85 deg, rel. 45, (1 1 -1)
- 29.46 deg, rel. 62, (2 -1 1)
- 33.70 deg, rel. 54, (1 1 -2)
- 35.56 deg, rel. 48, (1 -2 2)
- 36.75 deg, rel. 92, (-1 2 2)
- 44.57 deg, rel. 51, (3 0 0)